The following is a theoretical powder diffraction line list of Sr2TlCdAu6. It was derived from a crystal structure in Alexandria, relaxed with PBE, using copper Kα.
Peak positions follow from Bragg's law for the DFT cell and can differ from measured ones.

The 10 most intense peaks (2θ = 10–90°), sorted by position:
(2 0 0), 16.76 deg, 5.290 Å, I 54
(2 2 2), 29.24 deg, 3.054 Å, I 76
(4 0 0), 33.89 deg, 2.645 Å, I 100
(4 2 0), 38.04 deg, 2.366 Å, I 30
(4 4 0), 48.69 deg, 1.870 Å, I 73
(6 0 0), 51.85 deg, 1.763 Å, I 15
(6 2 2), 57.81 deg, 1.595 Å, I 35
(4 4 4), 60.64 deg, 1.527 Å, I 25
(6 6 2), 78.88 deg, 1.214 Å, I 14
(8 4 0), 81.35 deg, 1.183 Å, I 34

Crystal structure
```
data_Sr2TlCdAu6
_symmetry_space_group_name_H-M 'F m -3 m'
_symmetry_Int_Tables_number 225
_symmetry_space_group_name_Hall '-F 4 2 3'
_cell_length_a 10.5798
_cell_length_b 10.5798
_cell_length_c 10.5798
_cell_angle_alpha 90.00
_cell_angle_beta 90.00
_cell_angle_gamma 90.00
loop_
_atom_site_label
_atom_site_type_symbol
_atom_site_fract_x
_atom_site_fract_y
_atom_site_fract_z
Sr1 Sr 0.2500 0.2500 0.2500
Tl1 Tl 0.0000 0.0000 0.0000
Cd1 Cd 0.0000 0.0000 0.5000
Au1 Au 0.0000 0.0000 0.2528
```

The following is a theoretical powder diffraction line list of NaMgAgHg. It was derived from a crystal structure in Alexandria, relaxed with PBE, using copper Kα.
Peak positions follow from Bragg's law for the DFT cell and can differ from measured ones.

The 10 most intense peaks (2θ = 10–90°), sorted by position:
(0 0 1), 12.00 deg, 7.374 Å, I 26
(0 0 2), 24.14 deg, 3.687 Å, I 34
(1 0 0), 25.74 deg, 3.461 Å, I 67
(1 0 1), 28.49 deg, 3.133 Å, I 17
(1 0 2), 35.58 deg, 2.523 Å, I 100
(1 1 0), 36.72 deg, 2.447 Å, I 52
(1 1 2), 44.43 deg, 2.039 Å, I 27
(1 0 3), 45.25 deg, 2.004 Å, I 14
(2 0 0), 52.91 deg, 1.731 Å, I 18
(2 1 2), 65.39 deg, 1.427 Å, I 33

Crystal structure
```
data_NaMgAgHg
_symmetry_space_group_name_H-M 'P 4 m m'
_symmetry_Int_Tables_number 99
_cell_length_a 3.4610
_cell_length_b 3.4610
_cell_length_c 7.3736
_cell_angle_alpha 90.00
_cell_angle_beta 90.00
_cell_angle_gamma 90.00
loop_
_symmetry_equiv_pos_as_xyz
'x,y,z'
'-y,x,z'
'-x,-y,z'
'y,-x,z'
'-x,y,z'
'y,x,z'
'x,-y,z'
'-y,-x,z'
loop_
_atom_site_label
_atom_site_type_symbol
_atom_site_fract_x
_atom_site_fract_y
_atom_site_fract_z
Na1 Na 0.0000 0.0000 0.0000
Mg1 Mg 0.0000 0.0000 0.4747
Ag1 Ag 0.5000 0.5000 0.2767
Hg1 Hg 0.5000 0.5000 0.7172
```

The following is a theoretical powder diffraction line list of LiHgBi2. It was derived from a crystal structure in Alexandria, relaxed with PBE, using copper Kα.
Peak positions follow from Bragg's law for the DFT cell and can differ from measured ones.

The 10 most intense peaks (2θ = 10–90°), sorted by position:
(0 0 4), 16.51 deg, 5.369 Å, I 16
(1 0 3), 22.65 deg, 3.925 Å, I 22
(1 1 2), 28.14 deg, 3.171 Å, I 100
(0 0 8), 33.38 deg, 2.684 Å, I 26
(1 1 6), 36.94 deg, 2.434 Å, I 43
(2 0 4), 42.02 deg, 2.150 Å, I 54
(1 1 10), 50.63 deg, 1.803 Å, I 21
(3 1 2), 63.25 deg, 1.470 Å, I 17
(2 0 12), 65.61 deg, 1.423 Å, I 15
(3 1 6), 68.43 deg, 1.371 Å, I 14

Crystal structure
```
data_LiHgBi2
_symmetry_space_group_name_H-M 'I -4 2 d'
_symmetry_Int_Tables_number 122
_symmetry_space_group_name_Hall 'I -4 2bw'
_cell_length_a 4.6937
_cell_length_b 4.6937
_cell_length_c 21.4742
_cell_angle_alpha 90.00
_cell_angle_beta 90.00
_cell_angle_gamma 90.00
loop_
_atom_site_label
_atom_site_type_symbol
_atom_site_fract_x
_atom_site_fract_y
_atom_site_fract_z
Li1 Li 0.0000 0.0000 0.0000
Hg1 Hg 0.0000 0.0000 0.5000
Bi1 Bi 0.2217 0.2500 0.1250
```

The following is a theoretical powder diffraction line list of CuNiS. It was derived from a crystal structure in Alexandria, relaxed with PBE, using copper Kα.
Peak positions follow from Bragg's law for the DFT cell and can differ from measured ones.

The 10 most intense peaks (2θ = 10–90°), sorted by position:
(1 0 1), 26.31 deg, 3.388 Å, I 100
(0 1 -1), 30.57 deg, 2.924 Å, I 45
(1 1 0), 31.80 deg, 2.814 Å, I 83
(1 0 2), 37.50 deg, 2.398 Å, I 46
(1 -1 1), 37.86 deg, 2.376 Å, I 43
(1 1 -1), 39.61 deg, 2.275 Å, I 58
(1 0 -2), 43.76 deg, 2.069 Å, I 47
(0 2 1), 46.10 deg, 1.969 Å, I 87
(-1 1 2), 47.19 deg, 1.926 Å, I 51
(1 1 3), 52.77 deg, 1.735 Å, I 42

Crystal structure
```
data_CuNiS
_symmetry_space_group_name_H-M 'P 1'
_symmetry_Int_Tables_number 1
_cell_length_a 3.8901
_cell_length_b 4.0104
_cell_length_c 5.6163
_cell_angle_alpha 78.29
_cell_angle_beta 80.27
_cell_angle_gamma 85.15
loop_
_symmetry_equiv_pos_as_xyz
'x,y,z'
loop_
_atom_site_label
_atom_site_type_symbol
_atom_site_fract_x
_atom_site_fract_y
_atom_site_fract_z
Cu1 Cu 0.0000 0.0000 0.0000
Cu2 Cu 0.4225 0.4557 0.0841
Ni1 Ni 0.5432 0.2147 0.6891
Ni2 Ni 0.8649 0.7561 0.4854
S1 S 0.3092 0.7308 0.7005
S2 S 0.8583 0.3132 0.3031
```

The following is a theoretical powder diffraction line list of HoGa4NiRh2. It was derived from a crystal structure in Alexandria, relaxed with PBE, using copper Kα.
Peak positions follow from Bragg's law for the DFT cell and can differ from measured ones.

The 10 most intense peaks (2θ = 10–90°), sorted by position:
(1 0 1), 24.65 deg, 3.611 Å, I 8
(1 0 4), 28.22 deg, 3.163 Å, I 15
(0 1 5), 30.17 deg, 2.963 Å, I 35
(0 1 8), 37.57 deg, 2.394 Å, I 85
(1 1 0), 42.94 deg, 2.106 Å, I 100
(0 1 11), 46.57 deg, 1.950 Å, I 18
(1 0 13), 53.21 deg, 1.721 Å, I 10
(2 0 8), 58.35 deg, 1.581 Å, I 23
(1 2 8), 75.12 deg, 1.265 Å, I 21
(3 0 0), 78.69 deg, 1.216 Å, I 16

Crystal structure
```
data_HoGa4NiRh2
_symmetry_space_group_name_H-M 'R -3 m'
_symmetry_Int_Tables_number 166
_symmetry_space_group_name_Hall '-R 3 2"'
_cell_length_a 4.2125
_cell_length_b 4.2125
_cell_length_c 25.3828
_cell_angle_alpha 90.00
_cell_angle_beta 90.00
_cell_angle_gamma 120.00
loop_
_atom_site_label
_atom_site_type_symbol
_atom_site_fract_x
_atom_site_fract_y
_atom_site_fract_z
Ho1 Ho 0.0000 0.0000 0.0000
Ga1 Ga 0.0000 0.0000 0.1324
Ga2 Ga 0.0000 0.0000 0.3998
Ni1 Ni 0.0000 0.0000 0.5000
Rh1 Rh 0.0000 0.0000 0.2342
```

The following is a theoretical powder diffraction line list of TbAl4Pd2Au. It was derived from a crystal structure in Alexandria, relaxed with PBE, using copper Kα.
Peak positions follow from Bragg's law for the DFT cell and can differ from measured ones.

The 10 most intense peaks (2θ = 10–90°), sorted by position:
(1 0 4), 27.39 deg, 3.257 Å, I 100
(0 1 8), 36.05 deg, 2.491 Å, I 89
(0 0 12), 40.40 deg, 2.233 Å, I 15
(1 1 0), 41.99 deg, 2.152 Å, I 66
(0 2 4), 50.86 deg, 1.795 Å, I 19
(2 0 8), 56.51 deg, 1.628 Å, I 24
(1 1 12), 59.68 deg, 1.549 Å, I 28
(1 0 16), 60.62 deg, 1.527 Å, I 15
(2 1 4), 68.01 deg, 1.378 Å, I 15
(1 2 8), 72.84 deg, 1.298 Å, I 23

Crystal structure
```
data_TbAl4Pd2Au
_symmetry_space_group_name_H-M 'R -3 m'
_symmetry_Int_Tables_number 166
_symmetry_space_group_name_Hall '-R 3 2"'
_cell_length_a 4.3035
_cell_length_b 4.3035
_cell_length_c 26.7936
_cell_angle_alpha 90.00
_cell_angle_beta 90.00
_cell_angle_gamma 120.00
loop_
_atom_site_label
_atom_site_type_symbol
_atom_site_fract_x
_atom_site_fract_y
_atom_site_fract_z
Tb1 Tb 0.0000 0.0000 0.0000
Al1 Al 0.0000 0.0000 0.1259
Al2 Al 0.0000 0.0000 0.4004
Pd1 Pd 0.0000 0.0000 0.2460
Au1 Au 0.0000 0.0000 0.5000
```

What did the third record say?
The following is a theoretical powder diffraction line list of LiHgBi2. It was derived from a crystal structure in Alexandria, relaxed with PBE, using copper Kα.
Peak positions follow from Bragg's law for the DFT cell and can differ from measured ones.

The 10 most intense peaks (2θ = 10–90°), sorted by position:
(0 0 4), 16.51 deg, 5.369 Å, I 16
(1 0 3), 22.65 deg, 3.925 Å, I 22
(1 1 2), 28.14 deg, 3.171 Å, I 100
(0 0 8), 33.38 deg, 2.684 Å, I 26
(1 1 6), 36.94 deg, 2.434 Å, I 43
(2 0 4), 42.02 deg, 2.150 Å, I 54
(1 1 10), 50.63 deg, 1.803 Å, I 21
(3 1 2), 63.25 deg, 1.470 Å, I 17
(2 0 12), 65.61 deg, 1.423 Å, I 15
(3 1 6), 68.43 deg, 1.371 Å, I 14

Crystal structure
```
data_LiHgBi2
_symmetry_space_group_name_H-M 'I -4 2 d'
_symmetry_Int_Tables_number 122
_symmetry_space_group_name_Hall 'I -4 2bw'
_cell_length_a 4.6937
_cell_length_b 4.6937
_cell_length_c 21.4742
_cell_angle_alpha 90.00
_cell_angle_beta 90.00
_cell_angle_gamma 90.00
loop_
_atom_site_label
_atom_site_type_symbol
_atom_site_fract_x
_atom_site_fract_y
_atom_site_fract_z
Li1 Li 0.0000 0.0000 0.0000
Hg1 Hg 0.0000 0.0000 0.5000
Bi1 Bi 0.2217 0.2500 0.1250
```